Starting from DFT lattice parameters and positions (PBE), the X-ray powder pattern of Ta6FeCo5 was computed for Cu Kα (weighted mean of Kα1 and Kα2).
Neutral-atom scattering factors, no anomalous dispersion.

Peak list (6 most intense, 2θ from 10° to 90°, in order of falling intensity)
2θ (°), I (rel.), h k l
41.5, 100, 1 3 2
41.6, 50, 2 0 0
75.9, 33, 3 3 2
29.1, 30, 1 3 0
75.6, 17, 2 0 4
60.3, 16, 2 6 0

Structure:
Cell lengths 4.3389, 13.0203, 6.1717 Å; angles 90.00, 90.00, 90.00 degrees
Space group Cmmm (No. 65)
Asymmetric unit:
1 Ta 0.0000 0.0000 0.2488 [4 per cell]
2 Ta 0.0000 0.3337 0.2498 [8 per cell]
3 Fe 0.0000 0.5000 0.0000 [2 per cell]
4 Co 0.0000 0.1675 0.0000 [4 per cell]
5 Co 0.0000 0.1668 0.5000 [4 per cell]
6 Co 0.0000 0.5000 0.5000 [2 per cell]

=====

Starting from DFT lattice parameters and positions (PBE), the X-ray powder pattern of Tl3ClF was computed for Cu Kα (weighted mean of Kα1 and Kα2).
Neutral-atom scattering factors, no anomalous dispersion.

Peak list (6 most intense, 2θ from 10° to 90°, in order of falling intensity)
2θ (°), I (rel.), h k l
28.9, 100, 1 1 1
33.5, 58, 2 0 0
57.1, 46, 3 1 1
48.1, 42, 2 2 0
16.6, 24, 1 0 0
80.2, 19, 4 2 0

Structure:
Cell lengths 5.3535, 5.3535, 5.3535 Å; angles 90.00, 90.00, 90.00 degrees
Space group Pm-3m (No. 221)
Asymmetric unit:
1 Tl 0.0000 0.0000 0.5000 [3 per cell]
2 Cl 0.5000 0.5000 0.5000 [1 per cell]
3 F 0.0000 0.0000 0.0000 [1 per cell]

=====

Starting from DFT lattice parameters and positions (PBE), the X-ray powder pattern of Y4ScHg was computed for Cu Kα (weighted mean of Kα1 and Kα2).
Neutral-atom scattering factors, no anomalous dispersion.

Peak list (6 most intense, 2θ from 10° to 90°, in order of falling intensity)
2θ (°), I (rel.), h k l
12.5, 100, 1 1 0
32.9, 76, 2 2 1
33.9, 72, 1 5 0
33.7, 62, 2 2 -2
34.7, 55, 1 3 -2
31.9, 33, 3 1 -1

Structure:
Cell lengths 8.6895, 13.9612, 6.2304 Å; angles 90.00, 108.69, 90.00 degrees
Space group C2/c (No. 15)
Asymmetric unit:
1 Y 0.1004 0.1904 0.0522 [8 per cell]
2 Y 0.2076 0.4023 0.3564 [8 per cell]
3 Sc 0.0000 0.3909 0.7500 [4 per cell]
4 Hg 0.0000 0.0020 0.2500 [4 per cell]

=====

Starting from DFT lattice parameters and positions (PBE), the X-ray powder pattern of ZrSi3Rh5 was computed for Cu Kα (weighted mean of Kα1 and Kα2).
Neutral-atom scattering factors, no anomalous dispersion.

Peak list (6 most intense, 2θ from 10° to 90°, in order of falling intensity)
2θ (°), I (rel.), h k l
44.0, 100, 1 3 4
31.6, 86, 1 1 3
48.1, 71, 2 0 0
36.0, 62, 1 1 4
37.7, 60, 1 3 2
34.9, 52, 0 4 0

Structure:
Cell lengths 3.7838, 10.2765, 14.0289 Å; angles 90.00, 90.00, 90.00 degrees
Space group Cmcm (No. 63)
Asymmetric unit:
1 Zr 0.0000 0.2105 0.2500 [4 per cell]
2 Si 0.0000 0.0533 0.7500 [4 per cell]
3 Si 0.0000 0.3560 0.0140 [8 per cell]
4 Rh 0.0000 0.0000 0.0000 [4 per cell]
5 Rh 0.0000 0.2105 0.6169 [8 per cell]
6 Rh 0.0000 0.4869 0.6504 [8 per cell]

=====

Starting from DFT lattice parameters and positions (PBE), the X-ray powder pattern of BaHfF6 was computed for Cu Kα (weighted mean of Kα1 and Kα2).
Neutral-atom scattering factors, no anomalous dispersion.

Peak list (6 most intense, 2θ from 10° to 90°, in order of falling intensity)
2θ (°), I (rel.), h k l
22.2, 100, 0 2 1
28.0, 45, 2 2 0
28.2, 42, 2 0 1
42.6, 34, 2 4 1
43.0, 28, 2 2 2
52.9, 19, 4 2 1

Structure:
Cell lengths 7.6797, 11.4511, 5.5890 Å; angles 90.00, 90.00, 90.00 degrees
Space group Cmme (No. 67)
Asymmetric unit:
1 Ba 0.0000 0.2500 0.0567 [4 per cell]
2 Hf 0.2500 0.0000 0.5000 [4 per cell]
3 F 0.0000 0.0700 0.3524 [8 per cell]
4 F 0.1935 0.1240 0.7483 [16 per cell]

=====

Starting from DFT lattice parameters and positions (PBE), the X-ray powder pattern of PrCu2H8Ir was computed for Cu Kα (weighted mean of Kα1 and Kα2).
Neutral-atom scattering factors, no anomalous dispersion.

Peak list (6 most intense, 2θ from 10° to 90°, in order of falling intensity)
2θ (°), I (rel.), h k l
26.2, 100, 1 0 1
25.9, 96, 1 0 -1
38.7, 74, 0 2 0
19.0, 73, 0 1 0
39.1, 71, 2 0 0
19.3, 70, 1 0 0

Structure:
Cell lengths 4.6104, 4.6606, 5.1042 Å; angles 91.44, 90.76, 90.18 degrees
Space group P-1 (No. 2)
Asymmetric unit:
1 Pr 0.0000 0.0000 0.0000 [1 per cell]
2 Cu 0.4954 0.4957 0.7635 [2 per cell]
3 H 0.2280 0.4994 0.9980 [2 per cell]
4 H 0.2351 0.2347 0.5833 [2 per cell]
5 H 0.2388 0.7604 0.4088 [2 per cell]
6 H 0.4972 0.8779 0.8101 [2 per cell]
7 Ir 0.5000 0.0000 0.5000 [1 per cell]

=====

Starting from DFT lattice parameters and positions (PBE), the X-ray powder pattern of ZrPaZn6 was computed for Cu Kα (weighted mean of Kα1 and Kα2).
Neutral-atom scattering factors, no anomalous dispersion.

Peak list (6 most intense, 2θ from 10° to 90°, in order of falling intensity)
2θ (°), I (rel.), h k l
39.7, 100, 1 0 4
33.7, 28, 0 2 2
26.4, 26, 1 1 1
41.5, 20, 2 0 0
74.5, 19, 3 0 4
54.4, 14, 2 2 2

Structure:
Cell lengths 4.3562, 6.1336, 10.6540 Å; angles 90.00, 90.00, 90.00 degrees
Space group Amm2 (No. 38)
Asymmetric unit:
1 Zr 0.0000 0.0000 0.0000 [2 per cell]
2 Pa 0.5000 0.0000 0.6654 [2 per cell]
3 Zn 0.0000 0.0000 0.4817 [2 per cell]
4 Zn 0.0000 0.2248 0.2582 [4 per cell]
5 Zn 0.5000 0.0000 0.1785 [2 per cell]
6 Zn 0.5000 0.2330 0.4098 [4 per cell]

=====

Starting from DFT lattice parameters and positions (PBE), the X-ray powder pattern of Sc4CuAgRh2 was computed for Cu Kα (weighted mean of Kα1 and Kα2).
Neutral-atom scattering factors, no anomalous dispersion.

Peak list (6 most intense, 2θ from 10° to 90°, in order of falling intensity)
2θ (°), I (rel.), h k l
38.7, 100, 1 1 0
70.0, 24, 3 0 0
27.1, 18, 1 0 4
55.8, 16, 2 0 8
70.1, 8, 1 0 16
63.1, 7, 1 1 12

Structure:
Cell lengths 4.6588, 4.6588, 22.7850 Å; angles 90.00, 90.00, 120.00 degrees
Space group R-3m (No. 166, hexagonal axes)
Asymmetric unit:
1 Sc 0.0000 0.0000 0.1219 [6 per cell]
2 Sc 0.0000 0.0000 0.3722 [6 per cell]
3 Cu 0.0000 0.0000 0.0000 [3 per cell]
4 Ag 0.0000 0.0000 0.5000 [3 per cell]
5 Rh 0.0000 0.0000 0.2500 [6 per cell]

=====

Starting from DFT lattice parameters and positions (PBE), the X-ray powder pattern of LiZnCdPt was computed for Cu Kα (weighted mean of Kα1 and Kα2).
Neutral-atom scattering factors, no anomalous dispersion.

Peak list (6 most intense, 2θ from 10° to 90°, in order of falling intensity)
2θ (°), I (rel.), h k l
39.6, 100, 1 1 2
43.3, 39, 2 0 0
30.3, 37, 1 1 0
25.0, 30, 0 0 2
77.0, 28, 3 1 2
24.7, 24, 1 0 1

Structure:
Cell lengths 4.1778, 4.1778, 7.1267 Å; angles 90.00, 90.00, 90.00 degrees
Space group I-4m2 (No. 119)
Asymmetric unit:
1 Li 0.0000 0.0000 0.0000 [2 per cell]
2 Zn 0.0000 0.0000 0.5000 [2 per cell]
3 Cd 0.0000 0.5000 0.2500 [2 per cell]
4 Pt 0.0000 0.5000 0.7500 [2 per cell]

=====

Starting from DFT lattice parameters and positions (PBE), the X-ray powder pattern of CaAl4Pt2Rh was computed for Cu Kα (weighted mean of Kα1 and Kα2).
Neutral-atom scattering factors, no anomalous dispersion.

Peak list (6 most intense, 2θ from 10° to 90°, in order of falling intensity)
2θ (°), I (rel.), h k l
27.5, 100, 1 0 4
42.5, 78, 1 1 0
35.9, 60, 0 1 8
44.1, 48, 0 1 11
25.0, 33, 0 1 2
33.5, 22, 1 0 7

Structure:
Cell lengths 4.2560, 4.2560, 27.2430 Å; angles 90.00, 90.00, 120.00 degrees
Space group R-3m (No. 166, hexagonal axes)
Asymmetric unit:
1 Ca 0.0000 0.0000 0.0000 [3 per cell]
2 Al 0.0000 0.0000 0.1347 [6 per cell]
3 Al 0.0000 0.0000 0.4066 [6 per cell]
4 Pt 0.0000 0.0000 0.2329 [6 per cell]
5 Rh 0.0000 0.0000 0.5000 [3 per cell]

=====

Starting from DFT lattice parameters and positions (PBE), the X-ray powder pattern of NaHg2O4 was computed for Cu Kα (weighted mean of Kα1 and Kα2).
Neutral-atom scattering factors, no anomalous dispersion.

Peak list (6 most intense, 2θ from 10° to 90°, in order of falling intensity)
2θ (°), I (rel.), h k l
30.8, 100, 1 1 2
30.6, 75, 2 1 1
24.8, 57, 2 0 0
39.8, 51, 3 0 1
47.5, 37, 3 2 1
66.5, 31, 5 1 0

Structure:
Cell lengths 7.1765, 7.1765, 7.0691 Å; angles 90.00, 90.00, 90.00 degrees
Space group I-42d (No. 122)
Asymmetric unit:
1 Na 0.0000 0.0000 0.0000 [4 per cell]
2 Hg 0.1637 0.2500 0.6250 [8 per cell]
3 O 0.0476 0.1966 0.3383 [16 per cell]

=====

Starting from DFT lattice parameters and positions (PBE), the X-ray powder pattern of YCo2Ni2 was computed for Cu Kα (weighted mean of Kα1 and Kα2).
Neutral-atom scattering factors, no anomalous dispersion.

Peak list (6 most intense, 2θ from 10° to 90°, in order of falling intensity)
2θ (°), I (rel.), h k l
43.3, 100, 2 1 1
40.4, 84, 3 1 0
41.3, 42, 2 0 1
81.5, 19, 3 1 2
36.0, 19, 2 2 0
77.0, 18, 5 1 1

Structure:
Cell lengths 7.0526, 7.0526, 2.7851 Å; angles 90.00, 90.00, 90.00 degrees
Space group P4/mbm (No. 127)
Asymmetric unit:
1 Y 0.0000 0.0000 0.0000 [2 per cell]
2 Co 0.1679 0.3321 0.5000 [4 per cell]
3 Ni 0.1230 0.6230 0.0000 [4 per cell]